(1)
Structure and calculated XRD peak list of Li5CoAsN2 (the PBE geometry in Alexandria; a wavelength of 1.5418 Å).

Cell and atoms:
a = 4.088 Å, b = 4.088 Å, c = 7.475 Å
α = 90.00°, β = 90.00°, γ = 90.00°
Space group P4/mmm (No. 123)
Symmetry-distinct sites (fractional):
1 Li 0.000 0.000 0.000 x1
2 Li 0.000 0.500 0.257 x4
3 Co 0.000 0.000 0.500 x1
4 As 0.500 0.500 0.000 x1
5 N 0.000 0.000 0.277 x2

Most intense lines, 2θ from 10° to 80°, sorted by position:
- 2θ = 23.81°, intensity 13.0
- 2θ = 24.82°, intensity 100.0
- 2θ = 30.93°, intensity 33.8
- 2θ = 39.40°, intensity 29.3
- 2θ = 42.49°, intensity 17.8
- 2θ = 44.31°, intensity 19.0
- 2θ = 51.45°, intensity 25.4
- 2θ = 58.84°, intensity 8.6
- 2θ = 63.06°, intensity 10.8
- 2θ = 67.96°, intensity 9.1

---

(2)
Structure and calculated XRD peak list of Tl2P (the PBE geometry in Alexandria; a wavelength of 1.5418 Å).

Cell and atoms:
a = 12.028 Å, b = 3.304 Å, c = 8.680 Å
α = 90.00°, β = 104.77°, γ = 90.00°
Space group Cm (No. 8)
Symmetry-distinct sites (fractional):
1 Tl 0.000 0.000 0.000 x2
2 Tl 0.059 0.000 0.411 x2
3 Tl 0.268 0.500 0.252 x2
4 Tl 0.355 0.000 0.629 x2
5 P 0.119 0.500 0.758 x2
6 P 0.227 0.000 0.886 x2

Most intense lines, 2θ from 10° to 80°, sorted by position:
- 2θ = 10.54°, intensity 18.5
- 2θ = 16.18°, intensity 22.8
- 2θ = 29.28°, intensity 100.0
- 2θ = 29.85°, intensity 54.8
- 2θ = 30.76°, intensity 49.3
- 2θ = 31.76°, intensity 48.8
- 2θ = 34.18°, intensity 59.9
- 2θ = 35.70°, intensity 41.3
- 2θ = 39.07°, intensity 27.5
- 2θ = 52.21°, intensity 21.1

---

(3)
Structure and calculated XRD peak list of Pm3Mg2Hg2 (the PBE geometry in Alexandria; a wavelength of 1.5418 Å).

Cell and atoms:
a = 5.090 Å, b = 6.176 Å, c = 6.708 Å
α = 92.71°, β = 90.10°, γ = 114.25°
Space group P-1 (No. 2)
Symmetry-distinct sites (fractional):
1 Pm 0.000 0.000 0.000 x1
2 Pm 0.385 0.771 0.309 x2
3 Mg 0.305 0.609 0.814 x2
4 Hg 0.123 0.246 0.426 x2

Most intense lines, 2θ from 10° to 80°, sorted by position:
- 2θ = 13.22°, intensity 47.8
- 2θ = 19.14°, intensity 18.2
- 2θ = 23.57°, intensity 26.4
- 2θ = 31.83°, intensity 24.6
- 2θ = 32.00°, intensity 76.7
- 2θ = 33.34°, intensity 100.0
- 2θ = 35.27°, intensity 72.6
- 2θ = 39.33°, intensity 24.7
- 2θ = 42.78°, intensity 17.3
- 2θ = 50.73°, intensity 20.5

---

(4)
Structure and calculated XRD peak list of Ba2Al7Ge (the PBE geometry in Alexandria; a wavelength of 1.5418 Å).

Cell and atoms:
a = 4.621 Å, b = 4.621 Å, c = 11.146 Å
α = 90.00°, β = 90.00°, γ = 90.00°
Space group P-4m2 (No. 115)
Symmetry-distinct sites (fractional):
1 Ba 0.000 0.500 0.248 x2
2 Al 0.000 0.000 0.000 x1
3 Al 0.000 0.000 0.500 x1
4 Al 0.000 0.500 0.631 x2
5 Al 0.000 0.500 0.874 x2
6 Al 0.500 0.500 0.500 x1
7 Ge 0.500 0.500 0.000 x1

Most intense lines, 2θ from 10° to 80°, sorted by position:
- 2θ = 20.81°, intensity 55.8
- 2θ = 27.29°, intensity 19.0
- 2θ = 30.88°, intensity 68.3
- 2θ = 31.74°, intensity 100.0
- 2θ = 38.98°, intensity 43.7
- 2θ = 45.16°, intensity 25.1
- 2θ = 50.54°, intensity 33.5
- 2θ = 57.03°, intensity 17.1
- 2θ = 61.15°, intensity 20.3
- 2θ = 66.10°, intensity 23.6

---

(5)
Structure and calculated XRD peak list of KSmS2O6 (the PBE geometry in Alexandria; a wavelength of 1.5418 Å).

Cell and atoms:
a = 5.3937 Å, b = 5.3937 Å, c = 20.4420 Å
α = 90.00°, β = 90.00°, γ = 120.00°
Space group R-3 (No. 148, hexagonal axes)
Symmetry-distinct sites (fractional):
1 K 0.0000 0.0000 0.0000 x3
2 Sm 0.0000 0.0000 0.5000 x3
3 S 0.0000 0.0000 0.2645 x6
4 O 0.0387 0.2806 0.2350 x18

Most intense lines, 2θ from 10° to 80°, sorted by position:
- 2θ = 12.99°, intensity 27.2
- 2θ = 19.49°, intensity 34.2
- 2θ = 20.91°, intensity 17.6
- 2θ = 25.84°, intensity 100.0
- 2θ = 33.22°, intensity 30.2
- 2θ = 40.23°, intensity 23.5
- 2θ = 42.56°, intensity 13.7
- 2θ = 42.76°, intensity 17.6
- 2θ = 52.65°, intensity 19.5
- 2θ = 55.03°, intensity 15.8

---

(6)
Structure and calculated XRD peak list of Tb2NdDy8 (the PBE geometry in Alexandria; a wavelength of 1.5418 Å).

Cell and atoms:
a = 5.511 Å, b = 8.127 Å, c = 15.941 Å
α = 90.00°, β = 90.00°, γ = 90.00°
Space group Immm (No. 71)
Symmetry-distinct sites (fractional):
1 Tb 0.000 0.000 0.200 x4
2 Nd 0.000 0.000 0.500 x2
3 Dy 0.000 0.205 0.000 x4
4 Dy 0.000 0.293 0.361 x8
5 Dy 0.000 0.500 0.163 x4

Most intense lines, 2θ from 10° to 80°, sorted by position:
- 2θ = 29.77°, intensity 26.1
- 2θ = 32.14°, intensity 100.0
- 2θ = 32.48°, intensity 49.7
- 2θ = 33.55°, intensity 11.8
- 2θ = 33.73°, intensity 15.0
- 2θ = 47.54°, intensity 11.5
- 2θ = 56.26°, intensity 14.0
- 2θ = 57.75°, intensity 19.0
- 2θ = 63.11°, intensity 11.5
- 2θ = 64.14°, intensity 11.4